Record 1
# CsEu
Theoretical XRD peak list, Cu Kα (weighted mean of Kα1 and Kα2). Input: the PBE geometry in the Materials Project.
Peak positions follow from Bragg's law for the DFT cell and can differ from measured ones.

Top 6 peaks for 2θ from 10° to 90°, by intensity:
25.58°, intensity 100; 22.20°, intensity 31; 41.09°, intensity 28; 46.58°, intensity 26; 23.00°, intensity 22; 40.41°, intensity 20

Atomic structure:
```
CsEu
1.0
4.4644 0.0000 0.0000
-2.2322 3.8663 0.0000
0.0000 0.0000 8.0086
Cs Eu
1 1
Direct
0.0000 0.0000 0.0000
0.6667 0.3333 0.5000
```

---

Record 2
# CsEuF3
Theoretical XRD peak list, Cu Kα (weighted mean of Kα1 and Kα2). Input: the PBE geometry in the Materials Project.
Peak positions follow from Bragg's law for the DFT cell and can differ from measured ones.

Top 6 peaks for 2θ from 10° to 90°, by intensity:
26.04°, intensity 100; 45.93°, intensity 44; 37.16°, intensity 33; 73.17°, intensity 23; 53.56°, intensity 22; 60.50°, intensity 19

Atomic structure:
```
CsEuF3
1.0
4.8394 0.0000 0.0000
0.0000 4.8394 0.0000
0.0000 0.0000 4.8394
Cs Eu F
1 1 3
Direct
0.0000 0.0000 0.0000
0.5000 0.5000 0.5000
0.0000 0.5000 0.5000
0.5000 0.0000 0.5000
0.5000 0.5000 0.0000
```

---

Record 3
# CsNaEuNb5O15
Theoretical XRD peak list, Cu Kα (weighted mean of Kα1 and Kα2). Input: the PBE geometry in the Materials Project.
Peak positions follow from Bragg's law for the DFT cell and can differ from measured ones.

Top 6 peaks for 2θ from 10° to 90°, by intensity:
28.43°, intensity 100; 27.96°, intensity 55; 32.29°, intensity 48; 30.29°, intensity 38; 25.20°, intensity 38; 54.70°, intensity 30

Atomic structure:
```
CsNaEuNb5O15
1.0
7.7432 0.0000 0.0000
0.0000 10.7251 0.0000
0.0000 0.0000 7.9427
Cs Na Eu Nb O
2 2 2 10 30
Direct
0.0000 0.0033 0.0000
0.0000 0.9967 0.5000
0.5000 0.4920 0.0057
0.5000 0.5080 0.5057
0.0000 0.4864 0.0044
0.0000 0.5136 0.5044
0.2541 0.3065 0.2575
0.2541 0.6935 0.7575
0.2548 0.3050 0.7545
0.2548 0.6950 0.2545
0.5000 0.0008 0.2275
0.5000 0.9992 0.7275
0.7452 0.3050 0.7545
0.7452 0.6950 0.2545
0.7459 0.3065 0.2575
0.7459 0.6935 0.7575
0.0000 0.2796 0.2190
0.0000 0.2805 0.7886
0.0000 0.7195 0.2886
0.0000 0.7204 0.7190
0.1858 0.4999 0.2532
0.1858 0.5001 0.7532
0.2097 0.3284 0.5036
0.2097 0.6716 0.0036
0.2663 0.3364 0.0035
0.2663 0.6636 0.5035
0.3121 0.1319 0.7468
0.3121 0.8681 0.2468
0.3149 0.1336 0.2553
0.3149 0.8664 0.7553
0.5000 0.0047 0.9977
0.5000 0.3574 0.7308
0.5000 0.3584 0.2790
0.5000 0.6416 0.7790
0.5000 0.6426 0.2308
0.5000 0.9953 0.4977
0.6851 0.1336 0.2553
0.6851 0.8664 0.7553
0.6879 0.1319 0.7468
0.6879 0.8681 0.2468
0.7337 0.3364 0.0035
0.7337 0.6636 0.5035
0.7903 0.3284 0.5036
0.7903 0.6716 0.0036
0.8142 0.4999 0.2532
0.8142 0.5001 0.7532
```